Entry 1:
Computed XRD peak list
Compound: CaTb2VN4
Radiation: copper Kα
Structure: a crystal structure in Alexandria, relaxed with GGA-PBE

Structure:
```
16
Lattice="1.7077 -5.8756 0.0000 1.7077 5.8756 0.0000 0.0000 0.0000 11.8737" Properties=species:S:1:pos:R:3 pbc="T T T"
Ca 1.7077 4.7505 8.9052
Ca 1.7077 -4.7505 2.9684
Tb 1.7077 1.5225 6.4231
Tb 1.7077 1.5225 11.3874
Tb 1.7077 -1.5225 0.4863
Tb 1.7077 -1.5225 5.4505
V 1.7077 3.8438 2.9684
V 1.7077 -3.8438 8.9052
N 0.0000 0.0000 0.0000
N 0.0000 0.0000 5.9368
N 1.7077 2.7960 1.5000
N 1.7077 2.7960 4.4368
N 1.7077 1.0336 8.9052
N 1.7077 -1.0336 2.9684
N 1.7077 -2.7960 7.4369
N 1.7077 -2.7960 10.3736
```

Largest 6 diffraction maxima, by angle, 10 to 90 degrees two-theta:
| Position (°2θ) | I_rel |
| --- | --- |
| 14.92 | 91 |
| 27.17 | 95 |
| 30.43 | 59 |
| 31.15 | 100 |
| 38.10 | 95 |
| 40.99 | 52 |



Entry 2:
Computed XRD peak list
Compound: NdHfTh
Radiation: copper Kα
Structure: a crystal structure in Alexandria, relaxed with GGA-PBE

Structure:
```
6
Lattice="3.7000 0.0000 0.0000 0.0000 3.7000 0.0000 0.0000 0.0000 13.0220" Properties=species:S:1:pos:R:3 pbc="T T T"
Nd 0.9250 0.9250 1.4340
Nd 2.7750 2.7750 11.5880
Hf 0.9250 0.9250 5.7092
Hf 2.7750 2.7750 7.3128
Th 0.9250 0.9250 9.2705
Th 2.7750 2.7750 3.7515
```

Largest 6 diffraction maxima, by angle, 10 to 90 degrees two-theta:
| Position (°2θ) | I_rel |
| --- | --- |
| 31.78 | 100 |
| 34.27 | 58 |
| 36.77 | 31 |
| 49.26 | 21 |
| 59.82 | 34 |
| 63.02 | 13 |